Structure and calculated powder XRD pattern of CsHgP (a GGA-PBE-relaxed structure; Cu Kα, 1.54184 Å).

Principal peaks in the range 15° ≤ 2θ ≤ 90°, by angle:
index	2θ (°)	I/Imax
0 0 1	15.6	57
1 0 0	16.7	59
-1 1 1	25.5	52
1 1 -2	25.7	100
1 -2 1	32.1	71
2 1 -1	34.1	69

Structure:
Cell lengths 5.992, 6.507, 7.161 Å; angles 116.63, 114.01, 90.93 degrees
Positions (direct):
Cs1 0.000 0.000 0.000
Cs2 0.404 0.408 0.810
Hg1 0.422 0.776 0.407
Hg2 0.673 0.351 0.401
P1 0.025 0.662 0.403
P2 0.803 0.936 0.407